Computed XRD peak list of PuMg3Rh3 for Cu Kα, 1.54184 Å, from a GGA-PBE-relaxed structure.

Structure:
Cell: 5.5138 5.5138 5.5138 Å, 109.43 109.43 109.43°
Fractional positions:
Pu: 0.0000 0.0000 0.0000
Mg: 0.0000 0.5000 0.5000
Mg: 0.5000 0.0000 0.5000
Mg: 0.5000 0.5000 0.0000
Rh: 0.0000 0.0000 0.5000
Rh: 0.0000 0.5000 0.0000
Rh: 0.5000 0.0000 0.0000

Main lines, sorted by position (10° ≤ 2θ ≤ 90°):
2θ/deg  d_spacing  Rel. int.
19.7  4.507  82
34.5  2.600  41
40.0  2.252  100
45.0  2.014  20
53.8  1.704  12
53.9  1.701  12
57.9  1.593  17
61.8  1.502  12
72.6  1.302  9
72.8  1.300  25

***

Computed XRD peak list of RbSc4I8 for Cu Kα, 1.54184 Å, from a GGA-PBE-relaxed structure.

Structure:
Cell: 8.0826 8.0826 11.0922 Å, 119.33 119.33 60.86°
Fractional positions:
Rb: 0.0000 0.0000 0.0000
Sc: 0.2844 0.2844 0.5110
Sc: 0.3053 0.6947 0.5000
Sc: 0.6947 0.3053 0.5000
Sc: 0.7156 0.7156 0.4890
I: 0.0141 0.5009 0.6989
I: 0.0147 0.0147 0.3374
I: 0.4676 0.4676 0.2561
I: 0.4991 0.9859 0.3011
I: 0.5009 0.0141 0.6989
I: 0.5324 0.5324 0.7439
I: 0.9853 0.9853 0.6626
I: 0.9859 0.4991 0.3011

Main lines, sorted by position (10° ≤ 2θ ≤ 90°):
2θ/deg  d_spacing  Rel. int.
19.4  4.564  27
26.8  3.332  100
27.4  3.250  64
28.1  3.172  31
31.2  2.867  46
32.7  2.742  67
38.3  2.347  24
44.2  2.047  18
45.0  2.016  32
55.1  1.666  19

***

Computed XRD peak list of Zn4Ga2Pb for Cu Kα, 1.54184 Å, from a GGA-PBE-relaxed structure.

Structure:
Cell: 5.4160 5.4160 13.2151 Å, 90.00 90.00 90.00°
Fractional positions:
Zn: 0.0000 0.0000 0.2136
Zn: 0.0000 0.0000 0.7864
Zn: 0.0000 0.5000 0.0000
Zn: 0.0000 0.5000 0.5000
Zn: 0.5000 0.0000 0.0000
Zn: 0.5000 0.0000 0.5000
Zn: 0.5000 0.5000 0.2864
Zn: 0.5000 0.5000 0.7136
Ga: 0.0000 0.0000 0.4047
Ga: 0.0000 0.0000 0.5953
Ga: 0.5000 0.5000 0.0953
Ga: 0.5000 0.5000 0.9047
Pb: 0.0000 0.0000 0.0000
Pb: 0.5000 0.5000 0.5000

Main lines, sorted by position (10° ≤ 2θ ≤ 90°):
2θ/deg  d_spacing  Rel. int.
13.4  6.608  76
17.7  5.011  28
23.2  3.830  74
33.1  2.708  100
35.8  2.506  30
37.9  2.375  79
43.2  2.094  25
47.5  1.915  36
51.2  1.786  68
72.4  1.306  25